(1)
# NiS2Br2Cl4
Computed powder XRD pattern, Cu Kα. Input: DFT lattice parameters and positions (GGA-PBE).
Lines closer than 0.1° are merged.

Peak list (10 most intense, 2θ = 10–80°, by angle)
hkl	2θ/deg	intensity
0 0 1	11.1	52
1 0 0	19.9	48
1 0 -1	21.1	47
0 1 -2	22.6	23
1 1 0	25.4	64
0 1 2	29.1	46
1 -2 0	31.8	100
1 1 -3	36.2	38
1 1 2	38.6	26
-2 1 3	52.1	21

Cell and atoms:
a b c (Å): 4.528 6.883 8.403
angles (deg): 105.17 98.24 94.13
Space group P-1 (No. 2)
One atom of each set of equivalent atoms:
Ni: 0.000 0.000 0.000 [1 per cell]
S: 0.295 0.220 0.206 [2 per cell]
Br: 0.067 0.502 0.217 [2 per cell]
Cl: 0.260 0.175 0.433 [2 per cell]
Cl: 0.270 0.140 0.858 [2 per cell]

(2)
# Np2Br5Cl
Computed powder XRD pattern, Cu Kα. Input: DFT lattice parameters and positions (GGA-PBE).
Lines closer than 0.1° are merged.

Peak list (10 most intense, 2θ = 10–80°, by angle)
hkl	2θ/deg	intensity
0 0 1	12.8	67
1 0 0	13.0	76
1 0 -1	13.1	91
1 1 0	24.1	82
0 1 2	33.0	81
2 1 0	33.2	100
2 1 -2	33.5	77
3 0 -3	40.1	76
2 1 -3	40.8	78
0 2 0	41.0	78

Cell and atoms:
a b c (Å): 7.788 4.396 7.871
angles (deg): 90.00 118.75 90.00
Space group Pm (No. 6)
One atom of each set of equivalent atoms:
Np: 0.000 0.000 0.000 [1 per cell]
Np: 0.329 0.500 0.670 [1 per cell]
Br: 0.050 0.000 0.415 [1 per cell]
Br: 0.282 0.500 0.240 [1 per cell]
Br: 0.578 0.000 0.633 [1 per cell]
Br: 0.743 0.500 0.034 [1 per cell]
Br: 0.961 0.500 0.717 [1 per cell]
Cl: 0.342 0.000 0.919 [1 per cell]

(3)
# Np2BrCl5
Computed powder XRD pattern, Cu Kα. Input: DFT lattice parameters and positions (GGA-PBE).
Lines closer than 0.1° are merged.

Peak list (10 most intense, 2θ = 10–80°, by angle)
hkl	2θ/deg	intensity
0 0 1	13.5	44
1 0 0	13.7	56
1 0 -1	13.8	64
0 1 1	24.8	44
1 1 -1	24.9	100
0 1 2	34.4	55
2 1 0	34.7	43
2 1 -2	34.9	53
0 2 0	42.1	49
3 0 -3	42.2	70

Cell and atoms:
a b c (Å): 7.393 4.295 7.511
angles (deg): 90.00 118.98 90.00
Space group Pm (No. 6)
One atom of each set of equivalent atoms:
Np: 0.000 0.000 0.000 [1 per cell]
Np: 0.337 0.500 0.672 [1 per cell]
Br: 0.947 0.500 0.255 [1 per cell]
Cl: 0.064 0.000 0.651 [1 per cell]
Cl: 0.275 0.500 0.034 [1 per cell]
Cl: 0.360 0.000 0.422 [1 per cell]
Cl: 0.575 0.000 0.937 [1 per cell]
Cl: 0.755 0.500 0.728 [1 per cell]